(1)
For LiFe8O8F8, a cell relaxed with GGA+U gives the calculated X-ray diffraction stick pattern in this record (Cu Kα X-rays).
Lines closer than 0.1° are merged.

Top 10 peaks for 2θ = 5–70°, low angle first:
(hkl)  2θ/deg  I (rel.)
0 2 2  26.26  100.0
1 0 -2  34.42  13.6
1 -2 0  34.57  27.7
1 2 0  34.66  14.7
1 2 -2  39.44  13.6
-1 2 4  51.61  8.8
1 -2 4  51.79  14.6
-1 4 2  52.03  23.2
0 4 -4  54.03  17.6
2 0 0  59.96  9.5

Crystal structure
```
data_LiFe8O8F8
_chemical_formula_sum 'Li1 Fe8 O8 F8'
_cell_length_a 3.086
_cell_length_b 9.528
_cell_length_c 9.675
_cell_angle_alpha 90.02
_cell_angle_beta 90.20
_cell_angle_gamma 90.08
_space_group_name_H-M_alt 'P 1'
_space_group_IT_number 1
loop_
_space_group_symop_operation_xyz
'x,y,z'
loop_
_atom_site_label
_atom_site_fract_x
_atom_site_fract_y
_atom_site_fract_z
Li1 0.000 0.000 0.000
Fe1 0.428 0.539 0.258
Fe2 0.428 0.542 0.759
Fe3 0.441 0.005 0.245
Fe4 0.447 0.017 0.770
Fe5 0.922 0.746 0.009
Fe6 0.923 0.259 0.009
Fe7 0.932 0.745 0.508
Fe8 0.935 0.268 0.506
O1 0.424 0.158 0.095
O2 0.425 0.656 0.098
O3 0.432 0.668 0.601
O4 0.447 0.879 0.920
O5 0.930 0.615 0.850
O6 0.930 0.618 0.352
O7 0.939 0.910 0.170
O8 0.943 0.124 0.848
F1 0.427 0.369 0.914
F2 0.432 0.369 0.397
F3 0.436 0.873 0.420
F4 0.437 0.156 0.603
F5 0.926 0.411 0.160
F6 0.929 0.416 0.664
F7 0.937 0.113 0.352
F8 0.941 0.919 0.658
```


(2)
For Li4FeOF4, a cell relaxed with GGA+U gives the calculated X-ray diffraction stick pattern in this record (Cu Kα X-rays).
Lines closer than 0.1° are merged.

Top 10 peaks for 2θ = 5–70°, low angle first:
(hkl)  2θ/deg  I (rel.)
1 1 0  18.45  64.1
1 0 1  25.82  67.9
2 0 0  26.20  32.5
1 2 1  37.12  38.0
1 3 0  42.00  100.0
0 0 2  45.30  35.5
3 0 1  46.00  15.5
3 2 1  53.71  19.6
4 2 0  60.91  26.3
1 3 2  63.48  47.3

Crystal structure
```
data_Li4FeOF4
_chemical_formula_sum 'Li8 Fe2 O2 F8'
_cell_length_a 6.802
_cell_length_b 6.802
_cell_length_c 4.004
_cell_angle_alpha 90.00
_cell_angle_beta 90.00
_cell_angle_gamma 90.00
_space_group_name_H-M_alt 'I 4/m'
_space_group_IT_number 87
_space_group_name_Hall '-I 4'
loop_
_atom_site_label
_atom_site_fract_x
_atom_site_fract_y
_atom_site_fract_z
Li1 0.091 0.292 0.000
Fe1 0.000 0.000 0.500
O1 0.000 0.000 0.000
F1 0.103 0.309 0.500
```


(3)
For Li2FeO2F, a cell relaxed with GGA+U gives the calculated X-ray diffraction stick pattern in this record (Cu Kα X-rays).
Lines closer than 0.1° are merged.

Top 10 peaks for 2θ = 5–70°, low angle first:
(hkl)  2θ/deg  I (rel.)
1 1 0  18.87  100.0
0 0 2  19.56  10.2
0 2 1  23.31  21.6
1 1 -3  30.72  21.7
2 0 0  31.55  10.0
1 3 0  35.72  14.9
1 1 3  39.36  13.5
2 0 2  42.54  59.7
0 4 0  43.01  29.9
2 4 -4  62.09  31.4

Crystal structure
```
data_Li2FeO2F
_chemical_formula_sum 'Li16 Fe8 O16 F8'
_cell_length_a 5.970
_cell_length_b 8.413
_cell_length_c 9.552
_cell_angle_alpha 90.00
_cell_angle_beta 108.15
_cell_angle_gamma 90.00
_space_group_name_H-M_alt 'C 1 c 1'
_space_group_IT_number 9
loop_
_space_group_symop_operation_xyz
'x,y,z'
'x,-y,z+1/2'
'x+1/2,y+1/2,z'
'x+1/2,-y+1/2,z+1/2'
loop_
_atom_site_label
_atom_site_fract_x
_atom_site_fract_y
_atom_site_fract_z
Li1 0.000 0.118 0.000
Li2 0.186 0.126 0.365
Li3 0.187 0.374 0.880
Li4 0.348 0.376 0.194
Fe1 0.001 0.374 0.500
Fe2 0.345 0.125 0.685
O1 0.009 0.393 0.036
O2 0.029 0.141 0.535
O3 0.161 0.379 0.351
O4 0.193 0.129 0.851
F1 0.338 0.124 0.187
F2 0.354 0.373 0.685
```


(4)
For LiFe5O4F8, a cell relaxed with GGA+U gives the calculated X-ray diffraction stick pattern in this record (Cu Kα X-rays).
Lines closer than 0.1° are merged.

Top 10 peaks for 2θ = 5–70°, low angle first:
(hkl)  2θ/deg  I (rel.)
0 0 2  10.67  6.8
1 1 1  19.18  9.2
1 1 3  24.51  100.0
1 3 3  35.66  7.0
0 4 0  36.37  23.1
2 0 6  46.52  32.0
1 5 3  51.86  21.1
3 1 3  53.27  19.4
2 4 6  60.44  17.0
2 6 0  66.06  6.4

Crystal structure
```
data_LiFe5O4F8
_chemical_formula_sum 'Li4 Fe20 O16 F32'
_cell_length_a 5.518
_cell_length_b 9.880
_cell_length_c 16.577
_cell_angle_alpha 90.00
_cell_angle_beta 90.00
_cell_angle_gamma 90.00
_space_group_name_H-M_alt 'F 2 2 2'
_space_group_IT_number 22
_space_group_name_Hall 'F 2 2'
loop_
_atom_site_label
_atom_site_fract_x
_atom_site_fract_y
_atom_site_fract_z
Li1 0.000 0.000 0.000
Fe1 0.000 0.000 0.339
Fe2 0.250 0.250 0.091
Fe3 0.250 0.250 0.750
O1 0.004 0.198 0.667
F1 0.000 0.222 0.000
F2 0.239 0.042 0.082
F3 0.250 0.028 0.750
```